Entry 1:
Theoretical powder diffraction line list of SrLi6Ca6 for Cu Kα (λ = 1.5418 Å), from a PBE-relaxed structure.
Neutral-atom scattering factors, no anomalous dispersion.

Crystal structure
a = 8.771 Å, b = 8.771 Å, c = 8.771 Å
α = 136.16°, β = 98.01°, γ = 98.01°
Sites, in units of the cell vectors:
Sr (0.000, 0.000, 0.000)
Li (0.000, 0.000, 0.500)
Li (0.000, 0.500, 0.000)
Li (0.233, 0.733, 0.500)
Li (0.500, 0.000, 0.000)
Li (0.500, 0.500, 0.500)
Li (0.767, 0.267, 0.500)
Ca (0.183, 0.500, 0.683)
Ca (0.340, 0.340, 0.000)
Ca (0.345, 0.000, 0.345)
Ca (0.655, 0.000, 0.655)
Ca (0.660, 0.660, 0.000)
Ca (0.817, 0.500, 0.317)

The 6 most intense peaks (5 to 70 degrees two-theta), by intensity:
31.2°, d 2.870, I = 100.0; 26.9°, d 3.310, I = 93.1; 15.4°, d 5.754, I = 54.4; 27.2°, d 3.274, I = 36.4; 31.4°, d 2.846, I = 30.2; 55.4°, d 1.659, I = 24.2

Entry 2:
Theoretical powder diffraction line list of TbZnNi3 for Cu Kα (λ = 1.5418 Å), from a PBE-relaxed structure.
Neutral-atom scattering factors, no anomalous dispersion.

Crystal structure
a = 6.194 Å, b = 6.194 Å, c = 6.194 Å
α = 133.25°, β = 114.00°, γ = 84.73°
Sites, in units of the cell vectors:
Tb (0.000, 0.000, 0.000)
Tb (0.500, 0.000, 0.500)
Zn (0.276, 0.526, 0.750)
Zn (0.724, 0.474, 0.250)
Ni (0.133, 0.697, 0.437)
Ni (0.240, 0.303, 0.937)
Ni (0.500, 0.000, 0.000)
Ni (0.500, 0.500, 0.500)
Ni (0.760, 0.697, 0.063)
Ni (0.867, 0.303, 0.563)

The 6 most intense peaks (5 to 70 degrees two-theta), by intensity:
44.1°, d 2.056, I = 100.0; 33.7°, d 2.661, I = 94.1; 34.6°, d 2.592, I = 46.8; 36.6°, d 2.458, I = 41.6; 45.7°, d 1.986, I = 38.5; 39.4°, d 2.288, I = 37.3

Entry 3:
Theoretical powder diffraction line list of FeTe6Ir2 for Cu Kα (λ = 1.5418 Å), from a PBE-relaxed structure.
Neutral-atom scattering factors, no anomalous dispersion.

Crystal structure
a = 11.842 Å, b = 11.842 Å, c = 5.456 Å
α = 90.00°, β = 90.00°, γ = 120.00°
Sites, in units of the cell vectors:
Fe (0.000, 0.000, 0.000)
Fe (0.333, 0.667, 0.510)
Fe (0.667, 0.333, 0.490)
Te (0.101, 0.550, 0.274)
Te (0.110, 0.221, 0.247)
Te (0.110, 0.890, 0.247)
Te (0.218, 0.435, 0.737)
Te (0.218, 0.782, 0.737)
Te (0.221, 0.110, 0.753)
Te (0.435, 0.218, 0.263)
Te (0.450, 0.550, 0.274)
Te (0.450, 0.899, 0.274)
Te (0.550, 0.101, 0.726)
Te (0.550, 0.450, 0.726)
Te (0.565, 0.782, 0.737)
Te (0.779, 0.890, 0.247)
Te (0.782, 0.218, 0.263)
Te (0.782, 0.565, 0.263)
Te (0.890, 0.110, 0.753)
Te (0.890, 0.779, 0.753)
Te (0.899, 0.450, 0.726)
Ir (0.000, 0.337, 0.000)
Ir (0.000, 0.663, 0.000)
Ir (0.337, 0.000, 0.000)
Ir (0.337, 0.337, 0.000)
Ir (0.663, 0.000, 0.000)
Ir (0.663, 0.663, 0.000)

The 6 most intense peaks (5 to 70 degrees two-theta), by intensity:
30.9°, d 2.897, I = 100.0; 42.4°, d 2.132, I = 49.0; 46.0°, d 1.974, I = 40.7; 56.4°, d 1.631, I = 17.6; 22.2°, d 4.012, I = 17.4; 57.4°, d 1.606, I = 14.1